For Mg2MnOsO6, a crystal structure in Alexandria, relaxed with PBE+U gives the computed XRD peak list in this record (λ = 1.5418 Å (Cu Kα)).
No peak broadening, texture or thermal motion is included.

Structural model:
a b c (Å): 5.2793 5.2793 4.9548
angles (deg): 90.00 90.00 90.00
Positions (direct):
Mg 0.0000 0.5000 0.0000
Mg 0.5000 0.0000 0.0000
Mn 0.0000 0.0000 0.6333
Os 0.5000 0.5000 0.6640
O 0.0000 0.0000 0.2427
O 0.2648 0.2648 0.8238
O 0.2648 0.7352 0.8238
O 0.5000 0.5000 0.3161
O 0.7352 0.2648 0.8238
O 0.7352 0.7352 0.8238

Main lines, in order of falling intensity (10° ≤ 2θ ≤ 80°):
(1 1 1), d = 2.982 Å, rel. 100
(0 0 1), d = 4.955 Å, rel. 77
(1 1 0), d = 3.733 Å, rel. 70
(1 0 0), d = 5.279 Å, rel. 55
(1 0 1), d = 3.613 Å, rel. 48
(1 1 2), d = 2.064 Å, rel. 40